Theoretical XRD peak list of Sn5Sb for a wavelength of 1.5418 Å, from DFT lattice parameters and positions (GGA-PBE).
Intensities are scaled so that the largest is 100.

Main lines, in order of rising 2θ (2θ from 10° to 90°):
| two_theta | d/Å | I/Imax |
| --- | --- | --- |
| 29.2 | 3.063 | 61 |
| 31.5 | 2.838 | 100 |
| 31.8 | 2.814 | 49 |
| 43.5 | 2.082 | 84 |
| 43.7 | 2.072 | 41 |
| 56.5 | 1.629 | 20 |
| 64.3 | 1.448 | 13 |
| 64.8 | 1.438 | 26 |
| 65.8 | 1.419 | 13 |
| 69.8 | 1.348 | 21 |
| 73.6 | 1.287 | 19 |
| 87.4 | 1.116 | 13 |

Cell and atoms:
```
data_Sn5Sb
_cell_length_a 5.627
_cell_length_b 9.858
_cell_length_c 6.126
_cell_angle_alpha 90.00
_cell_angle_beta 90.00
_cell_angle_gamma 90.00
_symmetry_space_group_name_H-M 'C m m m'
_symmetry_Int_Tables_number 65
_symmetry_space_group_name_Hall '-C 2 2'
loop_
_atom_site_label
_atom_site_type_symbol
_atom_site_fract_x
_atom_site_fract_y
_atom_site_fract_z
Sn1 Sn 0.000 0.000 0.000
Sn2 Sn 0.000 0.333 0.000
Sn3 Sn 0.000 0.333 0.500
Sb1 Sb 0.000 0.000 0.500
```


Theoretical XRD peak list of SnSb for a wavelength of 1.5418 Å, from DFT lattice parameters and positions (GGA-PBE).
Intensities are scaled so that the largest is 100.

Main lines, in order of rising 2θ (2θ from 10° to 90°):
| two_theta | d/Å | I/Imax |
| --- | --- | --- |
| 28.8 | 3.095 | 100 |
| 41.1 | 2.196 | 13 |
| 41.3 | 2.187 | 64 |
| 51.0 | 1.790 | 14 |
| 51.2 | 1.784 | 14 |
| 59.8 | 1.548 | 13 |
| 67.5 | 1.388 | 6 |
| 67.7 | 1.384 | 24 |
| 67.8 | 1.382 | 6 |
| 75.0 | 1.266 | 9 |
| 75.3 | 1.262 | 13 |
| 89.6 | 1.094 | 6 |

Cell and atoms:
```
data_SnSb
_cell_length_a 6.185
_cell_length_b 8.782
_cell_length_c 4.368
_cell_angle_alpha 90.00
_cell_angle_beta 90.00
_cell_angle_gamma 90.00
_symmetry_space_group_name_H-M 'C m c m'
_symmetry_Int_Tables_number 63
_symmetry_space_group_name_Hall '-C 2c 2'
loop_
_atom_site_label
_atom_site_type_symbol
_atom_site_fract_x
_atom_site_fract_y
_atom_site_fract_z
Sn1 Sn 0.000 0.130 0.250
Sb1 Sb 0.000 0.369 0.750
```


Theoretical XRD peak list of Sn3Sb8 for a wavelength of 1.5418 Å, from DFT lattice parameters and positions (GGA-PBE).
Intensities are scaled so that the largest is 100.

Main lines, in order of rising 2θ (2θ from 10° to 90°):
| two_theta | d/Å | I/Imax |
| --- | --- | --- |
| 28.3 | 3.154 | 50 |
| 28.4 | 3.137 | 100 |
| 40.4 | 2.230 | 52 |
| 40.7 | 2.218 | 39 |
| 40.9 | 2.208 | 19 |
| 49.9 | 1.827 | 9 |
| 50.3 | 1.813 | 10 |
| 50.4 | 1.809 | 20 |
| 58.9 | 1.569 | 12 |
| 66.8 | 1.401 | 9 |
| 66.9 | 1.398 | 9 |
| 73.9 | 1.283 | 15 |

Cell and atoms:
```
data_Sn3Sb8
_cell_length_a 7.695
_cell_length_b 4.416
_cell_length_c 20.254
_cell_angle_alpha 90.00
_cell_angle_beta 97.08
_cell_angle_gamma 90.00
_symmetry_space_group_name_H-M 'C 1 2/m 1'
_symmetry_Int_Tables_number 12
loop_
_symmetry_equiv_pos_as_xyz
'x,y,z'
'-x,-y,-z'
'-x,y,-z'
'x,-y,z'
'x+1/2,y+1/2,z'
'-x+1/2,-y+1/2,-z'
'-x+1/2,y+1/2,-z'
'x+1/2,-y+1/2,z'
loop_
_atom_site_label
_atom_site_type_symbol
_atom_site_fract_x
_atom_site_fract_y
_atom_site_fract_z
Sn1 Sn 0.000 0.000 0.000
Sn2 Sn 0.221 0.500 0.169
Sb1 Sb 0.051 0.500 0.648
Sb2 Sb 0.095 0.000 0.277
Sb3 Sb 0.136 0.500 0.908
Sb4 Sb 0.177 0.000 0.538
```


Theoretical XRD peak list of Sn2Sb for a wavelength of 1.5418 Å, from DFT lattice parameters and positions (GGA-PBE).
Intensities are scaled so that the largest is 100.

Main lines, in order of rising 2θ (2θ from 10° to 90°):
| two_theta | d/Å | I/Imax |
| --- | --- | --- |
| 29.6 | 3.015 | 45 |
| 29.8 | 2.994 | 100 |
| 34.5 | 2.603 | 33 |
| 38.8 | 2.323 | 20 |
| 42.4 | 2.131 | 36 |
| 43.0 | 2.104 | 19 |
| 46.1 | 1.969 | 15 |
| 49.8 | 1.831 | 13 |
| 61.0 | 1.518 | 13 |
| 61.1 | 1.516 | 13 |
| 77.2 | 1.235 | 14 |
| 77.5 | 1.231 | 14 |

Cell and atoms:
```
data_Sn2Sb
_cell_length_a 3.250
_cell_length_b 8.521
_cell_length_c 25.253
_cell_angle_alpha 90.00
_cell_angle_beta 90.00
_cell_angle_gamma 90.00
_symmetry_space_group_name_H-M 'F d d d'
_symmetry_Int_Tables_number 70
loop_
_symmetry_equiv_pos_as_xyz
'x,y,z'
'-x,-y,-z'
'-x+1/4,-y+1/4,z'
'x+1/4,y+1/4,-z'
'x,-y+1/4,-z+1/4'
'-x,y+1/4,z+1/4'
'-x+1/4,y,-z+1/4'
'x+1/4,-y,z+1/4'
'x,y+1/2,z+1/2'
'-x,-y+1/2,-z+1/2'
'-x+1/4,-y+3/4,z+1/2'
'x+1/4,y+3/4,-z+1/2'
'x,-y+3/4,-z+3/4'
'-x,y+3/4,z+3/4'
'-x+1/4,y+1/2,-z+3/4'
'x+1/4,-y+1/2,z+3/4'
'x+1/2,y,z+1/2'
'-x+1/2,-y,-z+1/2'
'-x+3/4,-y+1/4,z+1/2'
'x+3/4,y+1/4,-z+1/2'
'x+1/2,-y+1/4,-z+3/4'
'-x+1/2,y+1/4,z+3/4'
'-x+3/4,y,-z+3/4'
'x+3/4,-y,z+3/4'
'x+1/2,y+1/2,z'
'-x+1/2,-y+1/2,-z'
'-x+3/4,-y+3/4,z'
'x+3/4,y+3/4,-z'
'x+1/2,-y+3/4,-z+1/4'
'-x+1/2,y+3/4,z+1/4'
'-x+3/4,y+1/2,-z+1/4'
'x+3/4,-y+1/2,z+1/4'
loop_
_atom_site_label
_atom_site_type_symbol
_atom_site_fract_x
_atom_site_fract_y
_atom_site_fract_z
Sn1 Sn 0.125 0.125 0.293
Sb1 Sb 0.125 0.125 0.125
```


Theoretical XRD peak list of Sn4Sb for a wavelength of 1.5418 Å, from DFT lattice parameters and positions (GGA-PBE).
Intensities are scaled so that the largest is 100.

Main lines, in order of rising 2θ (2θ from 10° to 90°):
| two_theta | d/Å | I/Imax |
| --- | --- | --- |
| 17.7 | 5.000 | 20 |
| 24.1 | 3.696 | 100 |
| 35.1 | 2.555 | 63 |
| 39.2 | 2.296 | 60 |
| 42.7 | 2.116 | 40 |
| 43.4 | 2.087 | 12 |
| 46.6 | 1.950 | 18 |
| 53.7 | 1.708 | 19 |
| 59.4 | 1.556 | 15 |
| 62.5 | 1.487 | 15 |
| 68.5 | 1.370 | 19 |
| 73.5 | 1.288 | 17 |

Cell and atoms:
```
data_Sn4Sb
_cell_length_a 4.5924
_cell_length_b 4.5924
_cell_length_c 9.9993
_cell_angle_alpha 90.00
_cell_angle_beta 90.00
_cell_angle_gamma 120.00
_symmetry_space_group_name_H-M 'P -3 m 1'
_symmetry_Int_Tables_number 164
_symmetry_space_group_name_Hall '-P 3 2"'
loop_
_atom_site_label
_atom_site_type_symbol
_atom_site_fract_x
_atom_site_fract_y
_atom_site_fract_z
Sn1 Sn 0.3333 0.6667 0.1547
Sn2 Sn 0.3333 0.6667 0.4473
Sb1 Sb 0.0000 0.0000 0.0000
```


Theoretical XRD peak list of SnSb for a wavelength of 1.5418 Å, from DFT lattice parameters and positions (GGA-PBE).
Intensities are scaled so that the largest is 100.

Main lines, in order of rising 2θ (2θ from 10° to 90°):
| two_theta | d/Å | I/Imax |
| --- | --- | --- |
| 29.0 | 3.082 | 41 |
| 31.5 | 2.844 | 100 |
| 43.3 | 2.090 | 84 |
| 56.0 | 1.642 | 20 |
| 60.0 | 1.541 | 5 |
| 64.3 | 1.449 | 26 |
| 65.7 | 1.422 | 12 |
| 69.4 | 1.355 | 21 |
| 73.3 | 1.291 | 18 |
| 86.6 | 1.124 | 12 |

Cell and atoms:
```
data_SnSb
_cell_length_a 3.2837
_cell_length_b 3.2837
_cell_length_c 6.1643
_cell_angle_alpha 90.00
_cell_angle_beta 90.00
_cell_angle_gamma 120.00
_symmetry_space_group_name_H-M 'P 6/m m m'
_symmetry_Int_Tables_number 191
_symmetry_space_group_name_Hall '-P 6 2'
loop_
_atom_site_label
_atom_site_type_symbol
_atom_site_fract_x
_atom_site_fract_y
_atom_site_fract_z
Sn1 Sn 0.0000 0.0000 0.0000
Sb1 Sb 0.0000 0.0000 0.5000
```


Theoretical XRD peak list of SnSb for a wavelength of 1.5418 Å, from DFT lattice parameters and positions (GGA-PBE).
Intensities are scaled so that the largest is 100.

Main lines, in order of rising 2θ (2θ from 10° to 90°):
| two_theta | d/Å | I/Imax |
| --- | --- | --- |
| 28.9 | 3.091 | 100 |
| 41.3 | 2.185 | 77 |
| 51.2 | 1.784 | 27 |
| 59.9 | 1.545 | 13 |
| 67.8 | 1.382 | 36 |
| 75.3 | 1.262 | 27 |
| 89.7 | 1.093 | 9 |

Cell and atoms:
```
data_SnSb
_cell_length_a 6.181
_cell_length_b 6.181
_cell_length_c 6.181
_cell_angle_alpha 90.00
_cell_angle_beta 90.00
_cell_angle_gamma 90.00
_symmetry_space_group_name_H-M 'F m -3 m'
_symmetry_Int_Tables_number 225
_symmetry_space_group_name_Hall '-F 4 2 3'
loop_
_atom_site_label
_atom_site_type_symbol
_atom_site_fract_x
_atom_site_fract_y
_atom_site_fract_z
Sn1 Sn 0.000 0.000 0.000
Sb1 Sb 0.000 0.000 0.500
```


Theoretical XRD peak list of Sr7Sn2Sb2 for a wavelength of 1.5418 Å, from DFT lattice parameters and positions (GGA-PBE).
Intensities are scaled so that the largest is 100.

Main lines, in order of rising 2θ (2θ from 10° to 90°):
| two_theta | d/Å | I/Imax |
| --- | --- | --- |
| 18.8 | 4.720 | 31 |
| 20.2 | 4.390 | 67 |
| 25.3 | 3.526 | 15 |
| 30.4 | 2.945 | 40 |
| 32.1 | 2.785 | 100 |
| 33.3 | 2.691 | 18 |
| 33.9 | 2.642 | 31 |
| 36.7 | 2.446 | 25 |
| 46.2 | 1.967 | 24 |
| 55.1 | 1.668 | 17 |
| 59.6 | 1.551 | 15 |
| 67.2 | 1.393 | 15 |

Cell and atoms:
```
data_Sr7Sn2Sb2
_cell_length_a 10.568
_cell_length_b 11.780
_cell_length_c 7.889
_cell_angle_alpha 90.00
_cell_angle_beta 90.00
_cell_angle_gamma 90.00
_symmetry_space_group_name_H-M 'C m m m'
_symmetry_Int_Tables_number 65
_symmetry_space_group_name_Hall '-C 2 2'
loop_
_atom_site_label
_atom_site_type_symbol
_atom_site_fract_x
_atom_site_fract_y
_atom_site_fract_z
Sr1 Sr 0.000 0.000 0.000
Sr2 Sr 0.000 0.500 0.260
Sr3 Sr 0.250 0.250 0.263
Sn1 Sn 0.233 0.000 0.500
Sb1 Sb 0.000 0.276 0.000
```


Theoretical XRD peak list of Sr3Sn2Sb4 for a wavelength of 1.5418 Å, from DFT lattice parameters and positions (GGA-PBE).
Intensities are scaled so that the largest is 100.

Main lines, in order of rising 2θ (2θ from 10° to 90°):
| two_theta | d/Å | I/Imax |
| --- | --- | --- |
| 23.9 | 3.724 | 40 |
| 26.1 | 3.417 | 31 |
| 28.1 | 3.180 | 96 |
| 28.9 | 3.088 | 100 |
| 30.9 | 2.896 | 45 |
| 31.6 | 2.834 | 72 |
| 33.5 | 2.674 | 21 |
| 34.3 | 2.612 | 26 |
| 37.3 | 2.413 | 31 |
| 39.0 | 2.312 | 21 |
| 39.6 | 2.278 | 29 |
| 40.7 | 2.215 | 58 |

Cell and atoms:
```
data_Sr3Sn2Sb4
_cell_length_a 14.922
_cell_length_b 12.350
_cell_length_c 6.848
_cell_angle_alpha 90.00
_cell_angle_beta 93.48
_cell_angle_gamma 90.00
_symmetry_space_group_name_H-M 'C 1 2/c 1'
_symmetry_Int_Tables_number 15
loop_
_symmetry_equiv_pos_as_xyz
'x,y,z'
'-x,-y,-z'
'-x,y,-z+1/2'
'x,-y,z+1/2'
'x+1/2,y+1/2,z'
'-x+1/2,-y+1/2,-z'
'-x+1/2,y+1/2,-z+1/2'
'x+1/2,-y+1/2,z+1/2'
loop_
_atom_site_label
_atom_site_type_symbol
_atom_site_fract_x
_atom_site_fract_y
_atom_site_fract_z
Sr1 Sr 0.000 0.105 0.250
Sr2 Sr 0.128 0.373 0.916
Sn1 Sn 0.212 0.124 0.517
Sb1 Sb 0.084 0.350 0.405
Sb2 Sb 0.154 0.099 0.910
```


Theoretical XRD peak list of TaSnSb2 for a wavelength of 1.5418 Å, from DFT lattice parameters and positions (GGA-PBE).
Intensities are scaled so that the largest is 100.

Main lines, in order of rising 2θ (2θ from 10° to 90°):
| two_theta | d/Å | I/Imax |
| --- | --- | --- |
| 30.3 | 2.951 | 14 |
| 30.7 | 2.913 | 100 |
| 33.4 | 2.680 | 52 |
| 34.3 | 2.611 | 21 |
| 38.1 | 2.364 | 65 |
| 42.0 | 2.153 | 92 |
| 53.5 | 1.711 | 45 |
| 63.0 | 1.476 | 13 |
| 65.2 | 1.431 | 20 |
| 67.6 | 1.386 | 34 |
| 70.3 | 1.340 | 20 |
| 78.3 | 1.220 | 19 |

Cell and atoms:
```
data_TaSnSb2
_cell_length_a 3.4230
_cell_length_b 3.4230
_cell_length_c 31.3333
_cell_angle_alpha 90.00
_cell_angle_beta 90.00
_cell_angle_gamma 120.00
_symmetry_space_group_name_H-M 'R -3 m'
_symmetry_Int_Tables_number 166
_symmetry_space_group_name_Hall '-R 3 2"'
loop_
_atom_site_label
_atom_site_type_symbol
_atom_site_fract_x
_atom_site_fract_y
_atom_site_fract_z
Ta1 Ta 0.0000 0.0000 0.0000
Sn1 Sn 0.0000 0.0000 0.5000
Sb1 Sb 0.0000 0.0000 0.3981
```


Theoretical XRD peak list of Ta2SnSb2 for a wavelength of 1.5418 Å, from DFT lattice parameters and positions (GGA-PBE).
Intensities are scaled so that the largest is 100.

Main lines, in order of rising 2θ (2θ from 10° to 90°):
| two_theta | d/Å | I/Imax |
| --- | --- | --- |
| 16.1 | 5.513 | 9 |
| 24.8 | 3.591 | 8 |
| 35.9 | 2.502 | 100 |
| 36.4 | 2.466 | 48 |
| 44.6 | 2.033 | 9 |
| 46.6 | 1.949 | 9 |
| 49.2 | 1.853 | 10 |
| 50.9 | 1.795 | 12 |
| 54.9 | 1.673 | 7 |
| 64.2 | 1.451 | 19 |
| 70.1 | 1.343 | 22 |
| 85.8 | 1.132 | 8 |

Cell and atoms:
```
data_Ta2SnSb2
_cell_length_a 7.797
_cell_length_b 7.797
_cell_length_c 3.591
_cell_angle_alpha 90.00
_cell_angle_beta 90.00
_cell_angle_gamma 90.00
_symmetry_space_group_name_H-M 'P 4/m b m'
_symmetry_Int_Tables_number 127
_symmetry_space_group_name_Hall '-P 4 2ab'
loop_
_atom_site_label
_atom_site_type_symbol
_atom_site_fract_x
_atom_site_fract_y
_atom_site_fract_z
Ta1 Ta 0.143 0.357 0.000
Sn1 Sn 0.000 0.000 0.000
Sb1 Sb 0.148 0.648 0.500
```


Theoretical XRD peak list of Tb8SnSb2 for a wavelength of 1.5418 Å, from DFT lattice parameters and positions (GGA-PBE).
Intensities are scaled so that the largest is 100.

Main lines, in order of rising 2θ (2θ from 10° to 90°):
| two_theta | d/Å | I/Imax |
| --- | --- | --- |
| 27.4 | 3.256 | 14 |
| 29.0 | 3.079 | 14 |
| 29.9 | 2.991 | 33 |
| 30.9 | 2.897 | 100 |
| 32.2 | 2.784 | 14 |
| 32.5 | 2.756 | 11 |
| 32.9 | 2.720 | 15 |
| 34.0 | 2.636 | 35 |
| 36.8 | 2.440 | 38 |
| 38.3 | 2.349 | 16 |
| 62.7 | 1.482 | 13 |
| 89.8 | 1.092 | 11 |

Cell and atoms:
```
data_Tb8SnSb2
_cell_length_a 19.197
_cell_length_b 4.880
_cell_length_c 7.200
_cell_angle_alpha 90.00
_cell_angle_beta 99.56
_cell_angle_gamma 90.00
_symmetry_space_group_name_H-M 'C 1 2/m 1'
_symmetry_Int_Tables_number 12
loop_
_symmetry_equiv_pos_as_xyz
'x,y,z'
'-x,-y,-z'
'-x,y,-z'
'x,-y,z'
'x+1/2,y+1/2,z'
'-x+1/2,-y+1/2,-z'
'-x+1/2,y+1/2,-z'
'x+1/2,-y+1/2,z'
loop_
_atom_site_label
_atom_site_type_symbol
_atom_site_fract_x
_atom_site_fract_y
_atom_site_fract_z
Tb1 Tb 0.017 0.000 0.254
Tb2 Tb 0.095 0.500 0.990
Tb3 Tb 0.162 0.500 0.524
Tb4 Tb 0.216 0.000 0.850
Sn1 Sn 0.000 0.500 0.500
Sb1 Sb 0.180 0.000 0.267
```


Theoretical XRD peak list of Tb5SnSb2 for a wavelength of 1.5418 Å, from DFT lattice parameters and positions (GGA-PBE).
Intensities are scaled so that the largest is 100.

Main lines, in order of rising 2θ (2θ from 10° to 90°):
| two_theta | d/Å | I/Imax |
| --- | --- | --- |
| 30.5 | 2.927 | 12 |
| 31.6 | 2.829 | 35 |
| 32.6 | 2.743 | 100 |
| 35.1 | 2.556 | 9 |
| 36.7 | 2.447 | 18 |
| 38.1 | 2.362 | 7 |
| 44.3 | 2.043 | 7 |
| 49.2 | 1.851 | 15 |
| 55.5 | 1.656 | 7 |
| 57.0 | 1.616 | 20 |
| 58.9 | 1.568 | 6 |
| 63.6 | 1.464 | 13 |

Cell and atoms:
```
data_Tb5SnSb2
_cell_length_a 9.788
_cell_length_b 11.315
_cell_length_c 8.170
_cell_angle_alpha 90.00
_cell_angle_beta 90.00
_cell_angle_gamma 90.00
_symmetry_space_group_name_H-M 'F m m 2'
_symmetry_Int_Tables_number 42
_symmetry_space_group_name_Hall 'F 2 -2'
loop_
_atom_site_label
_atom_site_type_symbol
_atom_site_fract_x
_atom_site_fract_y
_atom_site_fract_z
Tb1 Tb 0.000 0.000 0.000
Tb2 Tb 0.000 0.250 0.284
Tb3 Tb 0.208 0.000 0.319
Sn1 Sn 0.000 0.000 0.616
Sb1 Sb 0.250 0.250 0.032
```


Theoretical XRD peak list of Tb4SnSb2 for a wavelength of 1.5418 Å, from DFT lattice parameters and positions (GGA-PBE).
Intensities are scaled so that the largest is 100.

Main lines, in order of rising 2θ (2θ from 10° to 90°):
| two_theta | d/Å | I/Imax |
| --- | --- | --- |
| 18.3 | 4.846 | 25 |
| 26.0 | 3.427 | 77 |
| 29.2 | 3.058 | 44 |
| 29.7 | 3.007 | 100 |
| 34.7 | 2.586 | 70 |
| 34.8 | 2.575 | 25 |
| 37.1 | 2.423 | 43 |
| 44.0 | 2.058 | 32 |
| 44.2 | 2.048 | 29 |
| 48.5 | 1.876 | 30 |
| 55.6 | 1.653 | 23 |
| 65.3 | 1.428 | 23 |

Cell and atoms:
```
data_Tb4SnSb2
_cell_length_a 9.491
_cell_length_b 13.697
_cell_length_c 13.715
_cell_angle_alpha 90.00
_cell_angle_beta 90.00
_cell_angle_gamma 90.00
_symmetry_space_group_name_H-M 'F d d d'
_symmetry_Int_Tables_number 70
loop_
_symmetry_equiv_pos_as_xyz
'x,y,z'
'-x,-y,-z'
'-x+1/4,-y+1/4,z'
'x+1/4,y+1/4,-z'
'x,-y+1/4,-z+1/4'
'-x,y+1/4,z+1/4'
'-x+1/4,y,-z+1/4'
'x+1/4,-y,z+1/4'
'x,y+1/2,z+1/2'
'-x,-y+1/2,-z+1/2'
'-x+1/4,-y+3/4,z+1/2'
'x+1/4,y+3/4,-z+1/2'
'x,-y+3/4,-z+3/4'
'-x,y+3/4,z+3/4'
'-x+1/4,y+1/2,-z+3/4'
'x+1/4,-y+1/2,z+3/4'
'x+1/2,y,z+1/2'
'-x+1/2,-y,-z+1/2'
'-x+3/4,-y+1/4,z+1/2'
'x+3/4,y+1/4,-z+1/2'
'x+1/2,-y+1/4,-z+3/4'
'-x+1/2,y+1/4,z+3/4'
'-x+3/4,y,-z+3/4'
'x+3/4,-y,z+3/4'
'x+1/2,y+1/2,z'
'-x+1/2,-y+1/2,-z'
'-x+3/4,-y+3/4,z'
'x+3/4,y+3/4,-z'
'x+1/2,-y+3/4,-z+1/4'
'-x+1/2,y+3/4,z+1/4'
'-x+3/4,y+1/2,-z+1/4'
'x+3/4,-y+1/2,z+1/4'
loop_
_atom_site_label
_atom_site_type_symbol
_atom_site_fract_x
_atom_site_fract_y
_atom_site_fract_z
Tb1 Tb 0.060 0.281 0.469
Sn1 Sn 0.125 0.125 0.625
Sb1 Sb 0.000 0.000 0.000
```


Theoretical XRD peak list of Tc2SnSb for a wavelength of 1.5418 Å, from DFT lattice parameters and positions (GGA-PBE).
Intensities are scaled so that the largest is 100.

Main lines, in order of rising 2θ (2θ from 10° to 90°):
| two_theta | d/Å | I/Imax |
| --- | --- | --- |
| 27.3 | 3.264 | 1 |
| 39.0 | 2.308 | 100 |
| 56.4 | 1.632 | 17 |
| 63.8 | 1.460 | 1 |
| 70.7 | 1.333 | 34 |
| 83.8 | 1.154 | 11 |

Cell and atoms:
```
data_Tc2SnSb
_cell_length_a 3.263
_cell_length_b 3.263
_cell_length_c 6.531
_cell_angle_alpha 90.00
_cell_angle_beta 90.00
_cell_angle_gamma 90.00
_symmetry_space_group_name_H-M 'P 4/m m m'
_symmetry_Int_Tables_number 123
_symmetry_space_group_name_Hall '-P 4 2'
loop_
_atom_site_label
_atom_site_type_symbol
_atom_site_fract_x
_atom_site_fract_y
_atom_site_fract_z
Tc1 Tc 0.000 0.000 0.246
Sn1 Sn 0.500 0.500 0.500
Sb1 Sb 0.500 0.500 0.000
```